No. 1
Ac2Tb3Nd5: computed X-ray diffraction stick pattern (Cu Ka), based on a GGA-PBE-relaxed structure.
Lines closer than 0.1° are merged.

Main lines, low angle first (2θ from 10° to 80°):
hkl 2 2 -1, 4.408 Å, rel. 17; hkl 2 2 1, 3.290 Å, rel. 36; hkl 2 2 -3, 3.108 Å, rel. 46; hkl 2 4 0, 2.911 Å, rel. 67; hkl 2 4 -2, 2.844 Å, rel. 100; hkl 4 0 -2, 2.787 Å, rel. 87; hkl 2 0 -4, 2.624 Å, rel. 22; hkl 4 4 -4, 1.948 Å, rel. 19; hkl 0 6 3, 1.897 Å, rel. 14; hkl 6 0 0, 1.644 Å, rel. 30; hkl 2 4 4, 1.609 Å, rel. 14; hkl 4 8 -2, 1.513 Å, rel. 22

Structural model:
```
data_Ac2Tb3Nd5
_space_group_name_H-M_alt 'C 1 2/c 1'
_space_group_IT_number 15
_cell_length_a 11.1691
_cell_length_b 14.4191
_cell_length_c 10.4962
_cell_angle_alpha 90.00
_cell_angle_beta 117.92
_cell_angle_gamma 90.00
loop_
_space_group_symop_operation_xyz
'x,y,z'
'-x,-y,-z'
'-x,y,-z+1/2'
'x,-y,z+1/2'
'x+1/2,y+1/2,z'
'-x+1/2,-y+1/2,-z'
'-x+1/2,y+1/2,-z+1/2'
'x+1/2,-y+1/2,z+1/2'
loop_
_atom_site_label
_atom_site_type_symbol
_atom_site_fract_x
_atom_site_fract_y
_atom_site_fract_z
Ac1 Ac 0.1727 0.1248 0.0523
Tb1 Tb 0.0000 0.2696 0.7500
Tb2 Tb 0.1587 0.3754 0.5693
Nd1 Nd 0.0000 0.0247 0.2500
Nd2 Nd 0.0000 0.2436 0.2500
Nd3 Nd 0.0000 0.4989 0.2500
Nd4 Nd 0.2102 0.1300 0.6801
```



No. 2
Al4IrRu2: computed X-ray diffraction stick pattern (Cu Ka), based on a GGA-PBE-relaxed structure.
Lines closer than 0.1° are merged.

Main lines, low angle first (2θ from 10° to 80°):
hkl 0 0 3, 6.748 Å, rel. 81; hkl 1 0 1, 3.615 Å, rel. 58; hkl 1 0 4, 2.973 Å, rel. 84; hkl 0 1 5, 2.721 Å, rel. 30; hkl 1 0 7, 2.273 Å, rel. 22; hkl 1 1 0, 2.121 Å, rel. 100; hkl 0 1 8, 2.084 Å, rel. 94; hkl 1 1 3, 2.024 Å, rel. 24; hkl 0 2 4, 1.727 Å, rel. 18; hkl 2 0 8, 1.487 Å, rel. 32; hkl 3 0 0, 1.225 Å, rel. 17; hkl 1 2 8, 1.217 Å, rel. 32

Structural model:
```
data_Al4IrRu2
_space_group_name_H-M_alt 'R -3 m'
_space_group_IT_number 166
_space_group_name_Hall '-R 3 2"'
_cell_length_a 4.2427
_cell_length_b 4.2427
_cell_length_c 20.2444
_cell_angle_alpha 90.00
_cell_angle_beta 90.00
_cell_angle_gamma 120.00
loop_
_atom_site_label
_atom_site_type_symbol
_atom_site_fract_x
_atom_site_fract_y
_atom_site_fract_z
Al1 Al 0.0000 0.0000 0.1196
Al2 Al 0.0000 0.0000 0.3720
Ir1 Ir 0.0000 0.0000 0.5000
Ru1 Ru 0.0000 0.0000 0.2493
```



No. 3
Tb12Pr5Nd: computed X-ray diffraction stick pattern (Cu Ka), based on a GGA-PBE-relaxed structure.
Lines closer than 0.1° are merged.

Main lines, low angle first (2θ from 10° to 80°):
hkl 0 0 2, 3.010 Å, rel. 24; hkl 0 6 0, 2.907 Å, rel. 30; hkl 3 3 1, 2.829 Å, rel. 100; hkl 1 3 2, 2.603 Å, rel. 16; hkl 0 6 2, 2.091 Å, rel. 17; hkl 6 0 0, 1.921 Å, rel. 8; hkl 3 3 -3, 1.701 Å, rel. 11; hkl 3 9 1, 1.663 Å, rel. 21; hkl 6 0 -2, 1.619 Å, rel. 7; hkl 6 6 0, 1.603 Å, rel. 9; hkl 6 6 -2, 1.415 Å, rel. 8; hkl 9 3 -1, 1.224 Å, rel. 6

Structural model:
```
data_Tb12Pr5Nd
_space_group_name_H-M_alt 'C 1 2/m 1'
_space_group_IT_number 12
_cell_length_a 11.5251
_cell_length_b 17.4424
_cell_length_c 6.0204
_cell_angle_alpha 90.00
_cell_angle_beta 90.02
_cell_angle_gamma 90.00
loop_
_space_group_symop_operation_xyz
'x,y,z'
'-x,-y,-z'
'-x,y,-z'
'x,-y,z'
'x+1/2,y+1/2,z'
'-x+1/2,-y+1/2,-z'
'-x+1/2,y+1/2,-z'
'x+1/2,-y+1/2,z'
loop_
_atom_site_label
_atom_site_type_symbol
_atom_site_fract_x
_atom_site_fract_y
_atom_site_fract_z
Tb1 Tb 0.1784 0.1666 0.0536
Tb2 Tb 0.1785 0.0000 0.4445
Tb3 Tb 0.1787 0.3333 0.4463
Tb4 Tb 0.1796 0.5000 0.0554
Pr1 Pr 0.0000 0.1663 0.5000
Pr2 Pr 0.0000 0.3337 0.0000
Pr3 Pr 0.0000 0.5000 0.5000
Nd1 Nd 0.0000 0.0000 0.0000
```